The following is a theoretical powder diffraction line list of PaMnO6. It was derived from a cell relaxed with GGA+U, using CuKα.
Lines closer than 0.1° are merged.

Cell and atoms:
Unit cell a=10.1212 b=4.2104 c=6.3079 alpha=90.00 beta=128.02 gamma=90.00
Space group C2/m (No. 12)
Unique sites:
1 Pa 0.0000 0.0000 0.0000 [2 per cell]
2 Mn 0.0000 0.5000 0.5000 [2 per cell]
3 O 0.0071 0.5000 0.8086 [4 per cell]
4 O 0.0658 0.0000 0.4968 [4 per cell]
5 O 0.2461 0.0000 0.2417 [4 per cell]

Peak list (10 most intense, 2θ = 15–90°, sorted by position)
| 2θ (°) | Rel. int. |
| --- | --- |
| 17.85 | 31 |
| 18.01 | 34 |
| 22.30 | 86 |
| 23.90 | 42 |
| 25.44 | 100 |
| 28.30 | 50 |
| 33.99 | 26 |
| 34.17 | 33 |
| 37.29 | 26 |
| 48.39 | 25 |